# NaTiNbSi2SO12
Simulated powder diffraction line list, Cu Kα (weighted mean of Kα1 and Kα2). Input: a DFT-relaxed cell (PBE, the Materials Project).
Kinematic intensities with the Lorentz-polarization factor, no thermal factor.

```
data_NaTiNbSi2SO12
_chemical_formula_sum 'Na4 Ti4 Nb4 Si8 S4 O48'
_space_group_name_H-M_alt 'C 1 c 1'
_space_group_IT_number 9
_space_group_name_Hall 'C -2yc'
_cell_length_a 15.2300
_cell_length_b 8.8550
_cell_length_c 9.2068
_cell_angle_alpha 90.00
_cell_angle_beta 124.35
_cell_angle_gamma 90.00
loop_
_atom_site_label
_atom_site_type_symbol
_atom_site_fract_x
_atom_site_fract_y
_atom_site_fract_z
Na1 Na 0.0000 0.2457 0.0000
Ti1 Ti 0.1524 0.2266 0.4301
Nb1 Nb 0.3588 0.2531 0.0580
Si1 Si 0.2516 0.0395 0.2438
Si2 Si 0.3951 0.3886 0.7392
S1 S 0.1074 0.3980 0.7405
O1 O 0.0003 0.1904 0.2696
O2 O 0.0134 0.3228 0.7271
O3 O 0.1024 0.4402 0.2644
O4 O 0.1067 0.3689 0.5831
O5 O 0.1714 0.1470 0.2625
O6 O 0.1764 0.0665 0.5705
O7 O 0.1994 0.3246 0.9029
O8 O 0.2863 0.3193 0.5690
O9 O 0.3223 0.0709 0.9149
O10 O 0.3293 0.1460 0.2178
O11 O 0.3904 0.3638 0.9135
O12 O 0.3973 0.4262 0.2181
```

Principal peaks in the range 10° ≤ 2θ ≤ 90°, in order of falling intensity:
2θ/deg	I (rel.)	hkl
23.2	100	0 2 1
20.2	76	3 1 -1
31.3	56	3 1 1
19.5	56	1 1 1
13.9	48	1 1 -1
23.5	48	3 1 0
28.0	43	2 2 -2
20.1	40	0 2 0
30.9	37	3 1 -3
19.3	35	2 0 -2